(1)
The following is a calculated X-ray powder pattern of Ce7Ge3H2. It was derived from a cell relaxed with GGA-PBE, using copper Kα.
Lines closer than 0.1° are merged.

Structure:
```
12
Lattice="2.315 -12.549 0.000 2.315 12.549 0.000 0.000 0.000 4.339" Properties=species:S:1:pos:R:3 pbc="T T T"
Ce 0.000 0.000 0.000
Ce 2.315 10.227 2.169
Ce 2.315 7.195 0.000
Ce 2.315 2.524 0.000
Ce 2.315 -2.524 0.000
Ce 2.315 -7.195 0.000
Ce 2.315 -10.227 2.169
Ge 2.315 4.710 2.169
Ge 2.315 0.000 2.169
Ge 2.315 -4.710 2.169
H 2.315 9.494 0.000
H 2.315 -9.494 0.000
```

Main lines, in order of rising 2θ (2θ = 15–90°):
33.46 deg, I = 100; 35.78 deg, I = 17; 38.91 deg, I = 18; 41.63 deg, I = 15; 53.88 deg, I = 10; 58.29 deg, I = 11; 62.81 deg, I = 9; 67.01 deg, I = 13; 70.32 deg, I = 11; 70.78 deg, I = 11

---

(2)
The following is a calculated X-ray powder pattern of Th2BeGeRh6. It was derived from a cell relaxed with GGA-PBE, using copper Kα.
Lines closer than 0.1° are merged.

Structure:
```
10
Lattice="5.374 -3.249 0.000 5.374 3.249 0.000 -3.455 0.000 5.035" Properties=species:S:1:pos:R:3 pbc="T T T"
Th 1.800 0.000 1.245
Th 5.494 0.000 3.790
Be 5.374 0.000 0.000
Ge -1.727 0.000 2.517
Rh 0.178 0.000 3.839
Rh 4.515 1.486 1.249
Rh 2.779 1.486 3.785
Rh 4.515 -1.486 1.249
Rh 2.779 -1.486 3.785
Rh 7.116 0.000 1.195
```

Main lines, in order of rising 2θ (2θ = 15–90°):
28.43 deg, I = 34; 34.22 deg, I = 100; 35.71 deg, I = 92; 40.55 deg, I = 86; 40.72 deg, I = 43; 56.67 deg, I = 15; 58.75 deg, I = 28; 58.89 deg, I = 28; 60.67 deg, I = 14; 68.81 deg, I = 24

---

(3)
The following is a calculated X-ray powder pattern of Pm4Tl3Ni. It was derived from a cell relaxed with GGA-PBE, using copper Kα.
Lines closer than 0.1° are merged.

Structure:
```
8
Lattice="3.626 0.000 0.000 0.000 3.626 0.000 0.000 0.000 16.535" Properties=species:S:1:pos:R:3 pbc="T T T"
Pm 0.000 0.000 1.647
Pm 0.000 0.000 6.058
Pm 0.000 0.000 10.476
Pm 0.000 0.000 14.888
Tl 1.813 1.813 3.884
Tl 1.813 1.813 8.267
Tl 1.813 1.813 12.651
Ni 1.813 1.813 0.000
```

Main lines, in order of rising 2θ (2θ = 15–90°):
29.49 deg, I = 15; 32.86 deg, I = 100; 34.99 deg, I = 49; 50.33 deg, I = 18; 52.69 deg, I = 11; 57.25 deg, I = 13; 61.41 deg, I = 33; 67.45 deg, I = 10; 84.49 deg, I = 8; 88.74 deg, I = 11

---

(4)
The following is a calculated X-ray powder pattern of NaCdHg2F8. It was derived from a cell relaxed with GGA-PBE, using copper Kα.
Lines closer than 0.1° are merged.

Structure:
```
12
Lattice="-2.768 2.768 5.543 2.768 -2.768 5.543 2.768 2.768 -5.543" Properties=species:S:1:pos:R:3 pbc="T T T"
Na 0.000 0.000 0.000
Cd 2.768 0.000 2.772
Hg 0.000 0.000 5.543
Hg 0.000 2.768 2.772
F 1.394 1.409 -1.410
F 1.375 -1.359 4.133
F 1.409 1.394 1.410
F 4.128 1.394 1.410
F 1.394 4.128 -1.410
F 1.375 1.359 4.133
F -1.359 1.375 6.953
F 1.359 1.375 6.953
```

Main lines, in order of rising 2θ (2θ = 15–90°):
17.91 deg, I = 37; 27.90 deg, I = 100; 29.05 deg, I = 11; 32.33 deg, I = 25; 37.21 deg, I = 12; 44.01 deg, I = 12; 46.37 deg, I = 61; 54.98 deg, I = 46; 74.70 deg, I = 19; 85.98 deg, I = 19

---

(5)
The following is a calculated X-ray powder pattern of Ho3InFe3. It was derived from a cell relaxed with GGA-PBE, using copper Kα.
Lines closer than 0.1° are merged.

Structure:
```
14
Lattice="9.517 0.000 0.000 -4.758 8.242 0.000 0.000 0.000 3.951" Properties=species:S:1:pos:R:3 pbc="T T T"
Ho -1.199 3.184 0.988
Ho -1.401 7.688 0.988
Ho 2.158 2.631 2.963
Ho 2.600 5.611 0.988
Ho 6.159 0.554 2.963
Ho 5.958 5.057 2.963
In 0.000 5.495 2.963
In 4.758 2.747 0.988
Fe -0.558 1.278 2.963
Fe -3.373 8.086 2.963
Fe 0.828 1.122 0.988
Fe 3.930 7.120 2.963
Fe 8.131 0.156 0.988
Fe 5.316 6.964 0.988
```

Main lines, in order of rising 2θ (2θ = 15–90°):
28.66 deg, I = 59; 29.38 deg, I = 100; 31.37 deg, I = 45; 32.59 deg, I = 45; 36.74 deg, I = 72; 39.42 deg, I = 21; 44.45 deg, I = 29; 45.91 deg, I = 43; 53.74 deg, I = 35; 67.58 deg, I = 21

---

(6)
The following is a calculated X-ray powder pattern of Mn3Tl2S4. It was derived from a cell relaxed with GGA-PBE, using copper Kα.
Lines closer than 0.1° are merged.

Structure:
```
18
Lattice="0.000 5.065 13.849 2.921 0.000 13.849 2.921 5.065 0.000" Properties=species:S:1:pos:R:3 pbc="T T T"
Mn 0.730 1.266 3.462
Mn 2.191 3.799 3.460
Mn 3.651 6.331 10.385
Mn 2.191 3.799 17.314
Mn 3.651 6.331 24.239
Mn 5.112 8.863 24.236
Tl 2.191 3.799 8.332
Tl 2.191 3.799 12.442
Tl 3.651 6.331 15.256
Tl 3.651 6.331 19.367
S 3.645 4.642 5.036
S 5.106 5.487 11.961
S 3.645 2.955 15.738
S 0.736 2.955 5.036
S 5.106 7.175 22.663
S 2.197 7.175 11.961
S 0.736 4.642 15.738
S 2.197 5.487 22.663
```

Main lines, in order of rising 2θ (2θ = 15–90°):
17.82 deg, I = 74; 23.81 deg, I = 73; 26.12 deg, I = 91; 28.64 deg, I = 73; 30.76 deg, I = 70; 34.70 deg, I = 36; 35.47 deg, I = 100; 36.40 deg, I = 62; 38.28 deg, I = 66; 53.75 deg, I = 60

---

(7)
The following is a calculated X-ray powder pattern of CaPr2V. It was derived from a cell relaxed with GGA-PBE, using copper Kα.
Lines closer than 0.1° are merged.

Structure:
```
4
Lattice="1.742 1.006 12.180 -1.742 1.006 12.180 0.000 -2.012 12.180" Properties=species:S:1:pos:R:3 pbc="T T T"
Ca 0.000 0.000 0.000
Pr 0.000 0.000 15.457
Pr 0.000 0.000 21.083
V 0.000 0.000 18.270
```

Main lines, in order of rising 2θ (2θ = 15–90°):
29.33 deg, I = 61; 29.70 deg, I = 100; 30.01 deg, I = 94; 32.09 deg, I = 51; 34.32 deg, I = 72; 44.03 deg, I = 43; 45.97 deg, I = 52; 52.53 deg, I = 46; 54.80 deg, I = 19; 61.30 deg, I = 43

---

(8)
The following is a calculated X-ray powder pattern of Pm4SmMg5. It was derived from a cell relaxed with GGA-PBE, using copper Kα.
Lines closer than 0.1° are merged.

Structure:
```
10
Lattice="3.856 0.000 0.000 0.000 3.856 0.000 0.000 0.000 19.361" Properties=species:S:1:pos:R:3 pbc="T T T"
Pm 0.000 0.000 1.944
Pm 0.000 0.000 5.828
Pm 0.000 0.000 13.533
Pm 0.000 0.000 17.417
Sm 0.000 0.000 9.681
Mg 1.928 1.928 0.000
Mg 1.928 1.928 3.888
Mg 1.928 1.928 7.770
Mg 1.928 1.928 11.592
Mg 1.928 1.928 15.473
```

Main lines, in order of rising 2θ (2θ = 15–90°):
22.97 deg, I = 20; 23.07 deg, I = 40; 32.80 deg, I = 100; 40.46 deg, I = 19; 47.14 deg, I = 12; 52.92 deg, I = 9; 53.09 deg, I = 17; 58.47 deg, I = 13; 58.60 deg, I = 25; 78.42 deg, I = 11